(1)
Simulated powder XRD pattern
Compound: Cs8Ag2AuO
Radiation: λ = 1.5418 Å (Cu Kα)
Structure: a GGA-PBE-relaxed structure
Intensities are scaled so that the largest is 100.

Crystal structure
abc: 8.5443 8.8341 9.7823
angles: 90.43 90.51 95.23
Space group P-1 (No. 2)
Unique sites:
Cs 0.1911 0.2375 0.4988 [2 per cell]
Cs 0.2085 0.6509 0.7106 [2 per cell]
Cs 0.2096 0.6536 0.2940 [2 per cell]
Cs 0.2845 0.1665 0.9998 [2 per cell]
Ag 0.4980 0.9982 0.6475 [2 per cell]
Au 0.0000 0.5000 0.0000 [1 per cell]
O 0.0000 0.5000 0.5000 [1 per cell]

The 10 most intense peaks (10° ≤ 2θ ≤ 80°), low angle first:
2θ 13.8, I 55, (1 -1 0)
2θ 15.1, I 62, (1 1 0)
2θ 22.9, I 71, (-1 1 2)
2θ 23.6, I 100, (1 1 -2)
2θ 23.8, I 54, (1 1 2)
2θ 27.8, I 49, (2 -2 0)
2θ 30.1, I 34, (2 1 -2)
2θ 30.5, I 45, (2 1 2)
2θ 30.8, I 41, (-1 1 3)
2θ 35.6, I 37, (0 3 -2)

(2)
Simulated powder XRD pattern
Compound: HfZr2Sc8
Radiation: λ = 1.5418 Å (Cu Kα)
Structure: a GGA-PBE-relaxed structure
Intensities are scaled so that the largest is 100.

Crystal structure
abc: 8.1934 14.5725 5.3261
angles: 90.00 124.06 90.00
Space group C2/m (No. 12)
Unique sites:
Hf 0.0000 0.0000 0.0000 [2 per cell]
Zr 0.0000 0.3083 0.5000 [4 per cell]
Sc 0.0000 0.2068 0.0000 [4 per cell]
Sc 0.0767 0.5000 0.7934 [4 per cell]
Sc 0.2165 0.1190 0.6750 [8 per cell]

The 10 most intense peaks (10° ≤ 2θ ≤ 80°), low angle first:
2θ 17.8, I 31, (1 1 -1)
2θ 23.6, I 44, (0 2 1)
2θ 26.3, I 30, (2 0 0)
2θ 30.3, I 34, (1 1 1)
2θ 31.9, I 29, (0 4 1)
2θ 33.4, I 70, (3 1 -1)
2θ 33.9, I 38, (2 0 -2)
2θ 35.1, I 100, (1 5 -1)
2θ 35.6, I 23, (1 1 -2)
2θ 36.2, I 48, (2 4 0)

(3)
Simulated powder XRD pattern
Compound: Li2Fe4B
Radiation: λ = 1.5418 Å (Cu Kα)
Structure: a GGA-PBE-relaxed structure
Intensities are scaled so that the largest is 100.

Crystal structure
abc: 3.7901 3.7901 12.6051
angles: 90.00 90.00 90.00
Space group I4/mmm (No. 139)
Unique sites:
Li 0.0000 0.0000 0.1411 [4 per cell]
Fe 0.0000 0.0000 0.3435 [4 per cell]
Fe 0.0000 0.5000 0.0000 [4 per cell]
B 0.0000 0.0000 0.5000 [2 per cell]

The 10 most intense peaks (10° ≤ 2θ ≤ 80°), low angle first:
2θ 14.1, I 72, (0 0 2)
2θ 24.5, I 54, (1 0 1)
2θ 31.8, I 57, (1 0 3)
2θ 36.4, I 100, (1 1 2)
2θ 43.1, I 38, (0 0 6)
2θ 44.4, I 92, (1 1 4)
2θ 48.0, I 56, (2 0 0)
2θ 58.7, I 18, (2 1 3)
2θ 66.4, I 36, (2 0 6)
2θ 70.2, I 16, (2 2 0)

What did the third record say?
Simulated powder XRD pattern
Compound: Li2Fe4B
Radiation: λ = 1.5418 Å (Cu Kα)
Structure: a GGA-PBE-relaxed structure
Intensities are scaled so that the largest is 100.

Crystal structure
abc: 3.7901 3.7901 12.6051
angles: 90.00 90.00 90.00
Space group I4/mmm (No. 139)
Unique sites:
Li 0.0000 0.0000 0.1411 [4 per cell]
Fe 0.0000 0.0000 0.3435 [4 per cell]
Fe 0.0000 0.5000 0.0000 [4 per cell]
B 0.0000 0.0000 0.5000 [2 per cell]

The 10 most intense peaks (10° ≤ 2θ ≤ 80°), low angle first:
2θ 14.1, I 72, (0 0 2)
2θ 24.5, I 54, (1 0 1)
2θ 31.8, I 57, (1 0 3)
2θ 36.4, I 100, (1 1 2)
2θ 43.1, I 38, (0 0 6)
2θ 44.4, I 92, (1 1 4)
2θ 48.0, I 56, (2 0 0)
2θ 58.7, I 18, (2 1 3)
2θ 66.4, I 36, (2 0 6)
2θ 70.2, I 16, (2 2 0)

Please write out number 1 again, unchanged.
Simulated powder XRD pattern
Compound: Cs8Ag2AuO
Radiation: λ = 1.5418 Å (Cu Kα)
Structure: a GGA-PBE-relaxed structure
Intensities are scaled so that the largest is 100.

Crystal structure
abc: 8.5443 8.8341 9.7823
angles: 90.43 90.51 95.23
Space group P-1 (No. 2)
Unique sites:
Cs 0.1911 0.2375 0.4988 [2 per cell]
Cs 0.2085 0.6509 0.7106 [2 per cell]
Cs 0.2096 0.6536 0.2940 [2 per cell]
Cs 0.2845 0.1665 0.9998 [2 per cell]
Ag 0.4980 0.9982 0.6475 [2 per cell]
Au 0.0000 0.5000 0.0000 [1 per cell]
O 0.0000 0.5000 0.5000 [1 per cell]

The 10 most intense peaks (10° ≤ 2θ ≤ 80°), low angle first:
2θ 13.8, I 55, (1 -1 0)
2θ 15.1, I 62, (1 1 0)
2θ 22.9, I 71, (-1 1 2)
2θ 23.6, I 100, (1 1 -2)
2θ 23.8, I 54, (1 1 2)
2θ 27.8, I 49, (2 -2 0)
2θ 30.1, I 34, (2 1 -2)
2θ 30.5, I 45, (2 1 2)
2θ 30.8, I 41, (-1 1 3)
2θ 35.6, I 37, (0 3 -2)